1.
Structure and computed XRD peak list of Pm4Pr3Ho2 (a DFT-relaxed cell (PBE, Alexandria); Cu Ka).
Lines closer than 0.1° are merged.

Unit cell a=3.6407 b=3.6407 c=27.1698 alpha=90.00 beta=90.00 gamma=120.00
Space group P3m1 (No. 156)
Unique sites:
Pm: 0.0000 0.0000 0.0000 (multiplicity 1)
Pm: 0.0000 0.0000 0.2222 (multiplicity 1)
Pm: 0.3333 0.6667 0.3303 (multiplicity 1)
Pm: 0.3333 0.6667 0.5559 (multiplicity 1)
Pr: 0.0000 0.0000 0.4428 (multiplicity 1)
Pr: 0.3333 0.6667 0.1078 (multiplicity 1)
Pr: 0.3333 0.6667 0.7710 (multiplicity 1)
Ho: 0.0000 0.0000 0.6605 (multiplicity 1)
Ho: 0.0000 0.0000 0.8758 (multiplicity 1)

The 12 most intense peaks (2θ from 10° to 80°), low angle first:
index	2θ (°)	I/Imax
1 0 0	28.3	52.7
0 0 9	29.6	56.1
1 0 4	31.3	77.8
0 1 5	32.8	100.0
1 0 6	34.7	12.4
0 1 9	41.4	35.6
1 1 0	50.1	41.4
0 1 13	52.5	11.2
1 0 14	55.6	28.7
1 1 9	59.3	47.2
0 2 4	60.3	12.0
2 0 5	61.2	17.5



2.
Structure and computed XRD peak list of TiOsPb (a DFT-relaxed cell (PBE, Alexandria); Cu Ka).
Lines closer than 0.1° are merged.

Unit cell a=4.1907 b=3.1676 c=9.6371 alpha=90.00 beta=90.00 gamma=90.00
Space group Pmma (No. 51)
Unique sites:
Ti: 0.2500 0.0000 0.1080 (multiplicity 2)
Os: 0.2500 0.5000 0.8880 (multiplicity 2)
Pb: 0.2500 0.5000 0.3661 (multiplicity 2)

The 12 most intense peaks (2θ from 10° to 80°), low angle first:
index	2θ (°)	I/Imax
0 1 0	28.2	100.0
0 0 4	37.3	24.4
1 1 2	40.3	84.5
2 0 0	43.2	17.8
0 1 4	47.4	16.0
2 1 0	52.4	12.9
2 0 4	58.4	13.4
1 2 2	66.0	25.2
1 1 6	69.3	14.4
0 2 4	71.3	7.5
2 2 0	75.2	7.9
3 1 2	77.2	12.8